No. 1
The following is a simulated powder diffractogram of Pm2In8Ir. It was derived from a cell relaxed with GGA-PBE, using a wavelength of 1.5418 Å.
Lines closer than 0.1° are merged.

Main lines, in order of rising 2θ (2θ from 10° to 90°):
Position (°2θ), intensity
18.90, 10
30.60, 21
34.77, 100
36.55, 13
38.33, 54
39.97, 11
54.00, 17
55.33, 18
67.05, 39
68.15, 8

Crystal structure
```
data_Pm2In8Ir
_chemical_formula_sum 'Pm2 In8 Ir1'
_cell_length_a 4.696
_cell_length_b 4.696
_cell_length_c 12.293
_cell_angle_alpha 90.00
_cell_angle_beta 90.00
_cell_angle_gamma 90.00
_space_group_name_H-M_alt 'P 1'
_space_group_IT_number 1
loop_
_space_group_symop_operation_xyz
'x,y,z'
loop_
_atom_site_label
_atom_site_fract_x
_atom_site_fract_y
_atom_site_fract_z
_atom_site_occupancy
Pm1 0.000 0.000 0.193 1
Pm2 0.000 0.000 0.807 1
In1 0.000 0.500 0.000 1
In2 0.000 0.500 0.379 1
In3 0.000 0.500 0.621 1
In4 0.500 0.000 0.000 1
In5 0.500 0.000 0.379 1
In6 0.500 0.000 0.621 1
In7 0.500 0.500 0.191 1
In8 0.500 0.500 0.809 1
Ir1 0.000 0.000 0.500 1
```

---

No. 2
The following is a simulated powder diffractogram of PaFe2C3. It was derived from a cell relaxed with GGA-PBE, using a wavelength of 1.5418 Å.
Lines closer than 0.1° are merged.

Main lines, in order of rising 2θ (2θ from 10° to 90°):
Position (°2θ), intensity
24.56, 100
26.32, 86
27.99, 22
31.80, 24
32.13, 45
37.08, 30
37.41, 47
40.70, 23
43.21, 51
47.60, 43

Crystal structure
```
data_PaFe2C3
_chemical_formula_sum 'Pa2 Fe4 C6'
_cell_length_a 5.049
_cell_length_b 4.774
_cell_length_c 5.855
_cell_angle_alpha 90.00
_cell_angle_beta 107.88
_cell_angle_gamma 90.00
_space_group_name_H-M_alt 'P 1'
_space_group_IT_number 1
loop_
_space_group_symop_operation_xyz
'x,y,z'
loop_
_atom_site_label
_atom_site_fract_x
_atom_site_fract_y
_atom_site_fract_z
_atom_site_occupancy
Pa1 0.214 0.250 0.297 1
Pa2 0.786 0.750 0.703 1
Fe1 0.323 0.004 0.807 1
Fe2 0.323 0.496 0.807 1
Fe3 0.677 0.504 0.193 1
Fe4 0.677 0.996 0.193 1
C1 0.018 0.250 0.671 1
C2 0.219 0.750 0.534 1
C3 0.362 0.750 0.063 1
C4 0.638 0.250 0.937 1
C5 0.781 0.250 0.466 1
C6 0.982 0.750 0.329 1
```